Zr3PtC: calculated powder diffractogram (Cu Kα, 1.54184 Å), based on a structure optimized by DFT (PBE).
Intensities are scaled so that the largest is 100.

Crystal structure
```
data_Zr3PtC
_cell_length_a 6.397
_cell_length_b 8.954
_cell_length_c 6.348
_cell_angle_alpha 90.00
_cell_angle_beta 90.00
_cell_angle_gamma 90.00
_space_group_name_H-M_alt 'I m m a'
_space_group_IT_number 74
_space_group_name_Hall '-I 2b 2'
loop_
_atom_site_label
_atom_site_type_symbol
_atom_site_fract_x
_atom_site_fract_y
_atom_site_fract_z
Zr1 Zr 0.000 0.250 0.099
Zr2 Zr 0.250 0.053 0.750
Pt1 Pt 0.000 0.250 0.518
C1 C 0.000 0.000 0.000
```

Peak list (10 most intense, 2θ from 5° to 70°, low angle first)
- 19.7°, intensity 22, hkl 1 0 1
- 28.1°, intensity 31, hkl 1 2 1
- 33.1°, intensity 21, hkl 1 1 2
- 33.2°, intensity 23, hkl 0 3 1
- 34.5°, intensity 100, hkl 2 2 0
- 34.6°, intensity 69, hkl 0 2 2
- 40.0°, intensity 64, hkl 2 0 2
- 40.3°, intensity 21, hkl 0 4 0
- 49.7°, intensity 31, hkl 2 4 0
- 58.1°, intensity 24, hkl 0 0 4



Re5C: calculated powder diffractogram (Cu Kα, 1.54184 Å), based on a structure optimized by DFT (PBE).
Intensities are scaled so that the largest is 100.

Crystal structure
```
data_Re5C
_cell_length_a 4.9268
_cell_length_b 4.9268
_cell_length_c 4.6948
_cell_angle_alpha 90.00
_cell_angle_beta 90.00
_cell_angle_gamma 120.00
_space_group_name_H-M_alt 'P 6/m m m'
_space_group_IT_number 191
_space_group_name_Hall '-P 6 2'
loop_
_atom_site_label
_atom_site_type_symbol
_atom_site_fract_x
_atom_site_fract_y
_atom_site_fract_z
Re1 Re 0.0000 0.5000 0.0000
Re2 Re 0.3333 0.6667 0.5000
C1 C 0.0000 0.0000 0.5000
```

Peak list (10 most intense, 2θ from 5° to 70°, low angle first)
- 18.9°, intensity 9, hkl 0 0 1
- 20.8°, intensity 98, hkl 1 0 0
- 38.3°, intensity 48, hkl 0 0 2
- 41.4°, intensity 84, hkl 1 1 1
- 42.4°, intensity 18, hkl 2 0 0
- 44.0°, intensity 29, hkl 1 0 2
- 46.8°, intensity 100, hkl 2 0 1
- 57.1°, intensity 14, hkl 2 1 0
- 58.5°, intensity 14, hkl 2 0 2
- 69.0°, intensity 19, hkl 3 0 1



Repeat the first record exactly.
Zr3PtC: calculated powder diffractogram (Cu Kα, 1.54184 Å), based on a structure optimized by DFT (PBE).
Intensities are scaled so that the largest is 100.

Crystal structure
```
data_Zr3PtC
_cell_length_a 6.397
_cell_length_b 8.954
_cell_length_c 6.348
_cell_angle_alpha 90.00
_cell_angle_beta 90.00
_cell_angle_gamma 90.00
_space_group_name_H-M_alt 'I m m a'
_space_group_IT_number 74
_space_group_name_Hall '-I 2b 2'
loop_
_atom_site_label
_atom_site_type_symbol
_atom_site_fract_x
_atom_site_fract_y
_atom_site_fract_z
Zr1 Zr 0.000 0.250 0.099
Zr2 Zr 0.250 0.053 0.750
Pt1 Pt 0.000 0.250 0.518
C1 C 0.000 0.000 0.000
```

Peak list (10 most intense, 2θ from 5° to 70°, low angle first)
- 19.7°, intensity 22, hkl 1 0 1
- 28.1°, intensity 31, hkl 1 2 1
- 33.1°, intensity 21, hkl 1 1 2
- 33.2°, intensity 23, hkl 0 3 1
- 34.5°, intensity 100, hkl 2 2 0
- 34.6°, intensity 69, hkl 0 2 2
- 40.0°, intensity 64, hkl 2 0 2
- 40.3°, intensity 21, hkl 0 4 0
- 49.7°, intensity 31, hkl 2 4 0
- 58.1°, intensity 24, hkl 0 0 4